# VAgTeO5
Computed powder diffraction line list, Cu Kα, 1.54184 Å. Input: a DFT-relaxed cell (PBE+U, Alexandria).

Principal peaks in the range 10 to 90 degrees two-theta, low angle first:
Position (°2θ)	I/Imax	hkl
15.00	24	0 1 1
19.68	26	1 1 -1
25.67	27	0 3 1
27.08	100	1 3 0
27.85	27	1 0 -2
28.80	35	1 1 -2
31.56	56	2 0 0
33.49	39	1 0 2
34.59	26	0 3 2
39.97	28	2 2 -2
51.29	18	2 3 2
55.62	15	2 4 -3

Structure:
Cell: 5.794 12.128 6.905 Å, 90.00 101.69 90.00°
Fractional positions:
V: 0.169 0.125 0.416
V: 0.169 0.375 0.916
V: 0.831 0.625 0.084
V: 0.831 0.875 0.584
Ag: 0.316 0.728 0.801
Ag: 0.316 0.772 0.301
Ag: 0.684 0.228 0.699
Ag: 0.684 0.272 0.199
Te: 0.254 0.056 0.899
Te: 0.254 0.444 0.399
Te: 0.746 0.556 0.601
Te: 0.746 0.944 0.101
O: 0.058 0.692 0.018
O: 0.058 0.808 0.518
O: 0.062 0.030 0.217
O: 0.062 0.470 0.717
O: 0.332 0.052 0.637
O: 0.332 0.448 0.137
O: 0.350 0.218 0.338
O: 0.350 0.282 0.838
O: 0.383 0.588 0.481
O: 0.383 0.912 0.981
O: 0.617 0.088 0.019
O: 0.617 0.412 0.519
O: 0.650 0.718 0.162
O: 0.650 0.782 0.662
O: 0.668 0.552 0.863
O: 0.668 0.948 0.363
O: 0.938 0.530 0.283
O: 0.938 0.970 0.783
O: 0.942 0.192 0.482
O: 0.942 0.308 0.982